For GdY2Cu4Sn4, a cell relaxed with PBE gives the computed PXRD pattern in this record (a wavelength of 1.5418 Å).
No peak broadening, texture or thermal motion is included.

The 6 most intense peaks (10° ≤ 2θ ≤ 80°), by intensity:
- d 2.700, rel. 100
- d 2.635, rel. 89
- d 2.241, rel. 46
- d 2.010, rel. 42
- d 2.715, rel. 28
- d 2.458, rel. 22

Structure:
```
data_GdY2Cu4Sn4
_chemical_formula_sum 'Gd1 Y2 Cu4 Sn4'
_symmetry_space_group_name_H-M 'P 1'
_symmetry_Int_Tables_number 1
_symmetry_space_group_name_Hall 'P 1'
_cell_length_a 8.4525
_cell_length_b 8.4525
_cell_length_c 8.4525
_cell_angle_alpha 149.25
_cell_angle_beta 131.43
_cell_angle_gamma 58.59
loop_
_atom_site_label
_atom_site_type_symbol
_atom_site_fract_x
_atom_site_fract_y
_atom_site_fract_z
Gd1 Gd 0.0000 0.0000 0.0000
Y1 Y 0.3687 0.8687 0.5000
Y2 Y 0.6313 0.1313 0.5000
Cu1 Cu 0.0170 0.3293 0.6877
Cu2 Cu 0.3584 0.6707 0.6877
Cu3 Cu 0.6416 0.3293 0.3123
Cu4 Cu 0.9830 0.6707 0.3123
Sn1 Sn 0.2162 0.2162 0.0000
Sn2 Sn 0.2972 0.5000 0.7972
Sn3 Sn 0.7028 0.5000 0.2028
Sn4 Sn 0.7838 0.7838 0.0000
```